No. 1
Theoretical powder XRD pattern
Compound: K8RbAu5
Radiation: a wavelength of 1.5418 Å
Structure: a cell relaxed with PBE
Peak positions follow from Bragg's law for the DFT cell and can differ from measured ones.

Atomic structure:
a b c (Å): 25.566 4.981 11.177
angles (deg): 90.00 104.95 90.00
Space group Cm (No. 8)
One atom of each set of equivalent atoms:
K  0.000  0.000  0.000 (multiplicity 2)
K  0.005  0.500  0.333 (multiplicity 2)
K  0.075  0.000  0.685 (multiplicity 2)
K  0.151  0.000  0.305 (multiplicity 2)
K  0.183  0.500  0.998 (multiplicity 2)
K  0.322  0.500  0.334 (multiplicity 2)
K  0.354  0.000  0.027 (multiplicity 2)
K  0.430  0.000  0.648 (multiplicity 2)
Rb  0.252  0.500  0.666 (multiplicity 2)
Au  0.049  0.500  0.864 (multiplicity 2)
Au  0.083  0.500  0.134 (multiplicity 2)
Au  0.253  0.000  0.166 (multiplicity 2)
Au  0.422  0.500  0.199 (multiplicity 2)
Au  0.455  0.500  0.468 (multiplicity 2)

Main lines, by intensity (2θ = 10–90°):
- d = 2.585 Å, I 100, (3 1 3)
- d = 2.468 Å, I 89, (9 1 -1)
- d = 4.262 Å, I 83, (3 1 0)
- d = 4.158 Å, I 75, (3 1 -1)
- d = 4.366 Å, I 52, (1 1 1)
- d = 3.795 Å, I 49, (3 1 1)
- d = 2.951 Å, I 48, (3 1 -3)
- d = 6.079 Å, I 47, (4 0 -1)
- d = 4.227 Å, I 46, (6 0 -1)
- d = 2.490 Å, I 46, (0 2 0)

No. 2
Theoretical powder XRD pattern
Compound: Ni3Te6Rh
Radiation: a wavelength of 1.5418 Å
Structure: a cell relaxed with PBE
Peak positions follow from Bragg's law for the DFT cell and can differ from measured ones.

Atomic structure:
a b c (Å): 6.692 6.702 7.411
angles (deg): 115.85 116.12 90.11
Space group P-1 (No. 2)
One atom of each set of equivalent atoms:
Ni  0.000  0.000  0.000 (multiplicity 1)
Ni  0.000  0.000  0.500 (multiplicity 1)
Ni  0.000  0.500  0.000 (multiplicity 1)
Te  0.101  0.615  0.404 (multiplicity 2)
Te  0.286  0.260  0.018 (multiplicity 2)
Te  0.289  0.100  0.400 (multiplicity 2)
Rh  0.500  0.500  0.500 (multiplicity 1)

Main lines, by intensity (2θ = 10–90°):
- d = 2.905 Å, I 100, (0 0 2)
- d = 2.914 Å, I 76, (1 2 -1)
- d = 2.119 Å, I 57, (1 -3 1)
- d = 4.735 Å, I 51, (1 1 -1)
- d = 2.881 Å, I 41, (2 1 -2)
- d = 5.766 Å, I 39, (1 0 -1)
- d = 2.371 Å, I 29, (2 -2 0)
- d = 3.681 Å, I 24, (-1 1 1)
- d = 5.813 Å, I 23, (0 0 1)
- d = 2.365 Å, I 23, (2 2 -2)

No. 3
Theoretical powder XRD pattern
Compound: AlH
Radiation: a wavelength of 1.5418 Å
Structure: a cell relaxed with PBE
Peak positions follow from Bragg's law for the DFT cell and can differ from measured ones.

Atomic structure:
a b c (Å): 5.876 6.738 8.140
angles (deg): 90.00 90.00 90.00
Space group Fddd (No. 70, origin choice 2)
One atom of each set of equivalent atoms:
Al  0.125  0.331  0.125 (multiplicity 16)
H  0.125  0.125  0.505 (multiplicity 16)

Main lines, by intensity (2θ = 10–90°):
- d = 2.382 Å, I 100, (2 0 2)
- d = 2.595 Å, I 93, (0 2 2)
- d = 2.033 Å, I 63, (0 0 4)
- d = 2.214 Å, I 52, (2 2 0)
- d = 1.498 Å, I 35, (2 2 4)
- d = 1.297 Å, I 23, (1 5 1)
- d = 3.890 Å, I 19, (1 1 1)
- d = 1.278 Å, I 19, (4 2 2)
- d = 1.660 Å, I 16, (1 3 3)
- d = 1.232 Å, I 13, (2 0 6)

No. 4
Theoretical powder XRD pattern
Compound: Ag15Pt2Au2
Radiation: a wavelength of 1.5418 Å
Structure: a cell relaxed with PBE
Peak positions follow from Bragg's law for the DFT cell and can differ from measured ones.

Atomic structure:
a b c (Å): 9.3887 9.3887 14.4203
angles (deg): 90.00 90.00 120.00
Space group R-3m (No. 166, hexagonal axes)
One atom of each set of equivalent atoms:
Ag  0.0000  0.3036  0.0000 (multiplicity 18)
Ag  0.0000  0.5000  0.5000 (multiplicity 9)
Ag  0.0022  0.5011  0.1500 (multiplicity 18)
Pt  0.0000  0.0000  0.0928 (multiplicity 6)
Au  0.0000  0.0000  0.2874 (multiplicity 6)

Main lines, by intensity (2θ = 10–90°):
- d = 2.349 Å, I 100, (2 2 0)
- d = 2.361 Å, I 70, (0 3 3)
- d = 2.712 Å, I 57, (3 0 0)
- d = 2.109 Å, I 46, (2 2 3)
- d = 2.139 Å, I 45, (1 1 6)
- d = 1.355 Å, I 34, (6 0 0)
- d = 7.083 Å, I 32, (1 0 1)
- d = 1.427 Å, I 20, (4 1 6)
- d = 1.566 Å, I 18, (3 3 0)
- d = 2.103 Å, I 18, (1 2 5)

No. 5
Theoretical powder XRD pattern
Compound: LiDy4Pd3
Radiation: a wavelength of 1.5418 Å
Structure: a cell relaxed with PBE
Peak positions follow from Bragg's law for the DFT cell and can differ from measured ones.

Atomic structure:
a b c (Å): 3.743 4.617 10.601
angles (deg): 90.00 90.00 90.00
Space group Pmm2 (No. 25)
One atom of each set of equivalent atoms:
Li  0.000  0.000  0.000 (multiplicity 1)
Dy  0.000  0.000  0.300 (multiplicity 1)
Dy  0.000  0.500  0.567 (multiplicity 1)
Dy  0.500  0.000  0.780 (multiplicity 1)
Dy  0.500  0.500  0.070 (multiplicity 1)
Pd  0.000  0.500  0.856 (multiplicity 1)
Pd  0.500  0.000  0.516 (multiplicity 1)
Pd  0.500  0.500  0.343 (multiplicity 1)

Main lines, by intensity (2θ = 10–90°):
- d = 2.804 Å, I 100, (1 1 1)
- d = 2.245 Å, I 50, (1 1 3)
- d = 2.308 Å, I 31, (0 2 0)
- d = 2.569 Å, I 29, (1 0 3)
- d = 2.650 Å, I 27, (0 0 4)
- d = 3.481 Å, I 24, (0 1 2)
- d = 1.717 Å, I 18, (1 2 3)
- d = 2.298 Å, I 17, (0 1 4)
- d = 1.871 Å, I 17, (2 0 0)
- d = 1.741 Å, I 16, (0 2 4)

No. 6
Theoretical powder XRD pattern
Compound: Ru
Radiation: a wavelength of 1.5418 Å
Structure: a cell relaxed with PBE
Peak positions follow from Bragg's law for the DFT cell and can differ from measured ones.

Atomic structure:
a b c (Å): 2.728 13.140 4.702
angles (deg): 90.00 90.00 90.00
Space group Fmm2 (No. 42)
One atom of each set of equivalent atoms:
Ru  0.000  0.000  0.000 (multiplicity 4)
Ru  0.000  0.161  0.325 (multiplicity 8)

Main lines, by intensity (2θ = 10–90°):
- d = 2.077 Å, I 100, (1 3 1)
- d = 2.190 Å, I 38, (0 6 0)
- d = 2.214 Å, I 25, (0 2 2)
- d = 2.322 Å, I 24, (1 1 1)
- d = 1.912 Å, I 23, (0 4 2)
- d = 1.242 Å, I 17, (1 9 1)
- d = 1.352 Å, I 15, (1 1 3)
- d = 2.351 Å, I 14, (0 0 2)
- d = 1.158 Å, I 12, (2 6 0)
- d = 1.101 Å, I 11, (1 7 3)

No. 7
Theoretical powder XRD pattern
Compound: Tb6SmTh4
Radiation: a wavelength of 1.5418 Å
Structure: a cell relaxed with PBE
Peak positions follow from Bragg's law for the DFT cell and can differ from measured ones.

Atomic structure:
a b c (Å): 3.447 5.889 35.760
angles (deg): 90.00 90.00 90.00
Space group Immm (No. 71)
One atom of each set of equivalent atoms:
Tb  0.000  0.000  0.096 (multiplicity 4)
Tb  0.000  0.000  0.267 (multiplicity 4)
Tb  0.000  0.000  0.369 (multiplicity 4)
Sm  0.000  0.500  0.500 (multiplicity 2)
Th  0.000  0.500  0.044 (multiplicity 4)
Th  0.000  0.500  0.317 (multiplicity 4)

Main lines, by intensity (2θ = 10–90°):
- d = 2.846 Å, I 100, (0 1 11)
- d = 2.944 Å, I 58, (0 2 0)
- d = 2.476 Å, I 44, (1 1 8)
- d = 2.662 Å, I 39, (1 1 6)
- d = 1.474 Å, I 35, (0 4 0)
- d = 3.311 Å, I 29, (1 0 3)
- d = 1.680 Å, I 21, (0 3 11)
- d = 2.200 Å, I 19, (1 2 3)
- d = 3.105 Å, I 19, (1 0 5)
- d = 2.823 Å, I 16, (1 1 4)

No. 8
Theoretical powder XRD pattern
Compound: Tl4Hg5
Radiation: a wavelength of 1.5418 Å
Structure: a cell relaxed with PBE
Peak positions follow from Bragg's law for the DFT cell and can differ from measured ones.

Atomic structure:
a b c (Å): 9.5940 9.5940 6.6207
angles (deg): 90.00 90.00 120.00
Space group P6_3/mcm (No. 193)
One atom of each set of equivalent atoms:
Tl  0.0000  0.0000  0.0000 (multiplicity 2)
Tl  0.0000  0.3608  0.2500 (multiplicity 6)
Hg  0.0000  0.3097  0.7500 (multiplicity 6)
Hg  0.3333  0.6667  0.0000 (multiplicity 4)

Main lines, by intensity (2θ = 10–90°):
- d = 2.770 Å, I 100, (3 0 0)
- d = 2.725 Å, I 92, (1 1 2)
- d = 1.942 Å, I 32, (2 2 2)
- d = 1.590 Å, I 32, (4 1 2)
- d = 1.421 Å, I 27, (3 0 4)
- d = 1.599 Å, I 16, (3 3 0)
- d = 1.234 Å, I 12, (5 2 2)
- d = 1.150 Å, I 11, (3 3 4)
- d = 2.837 Å, I 11, (2 1 1)
- d = 1.385 Å, I 9, (6 0 0)

No. 9
Theoretical powder XRD pattern
Compound: Sm5TePd2
Radiation: a wavelength of 1.5418 Å
Structure: a cell relaxed with PBE
Peak positions follow from Bragg's law for the DFT cell and can differ from measured ones.

Atomic structure:
a b c (Å): 8.005 8.005 13.711
angles (deg): 90.00 90.00 90.00
Space group I4/mcm (No. 140)
One atom of each set of equivalent atoms:
Sm  0.000  0.000  0.000 (multiplicity 4)
Sm  0.155  0.345  0.141 (multiplicity 16)
Te  0.000  0.000  0.250 (multiplicity 4)
Pd  0.135  0.365  0.500 (multiplicity 8)

Main lines, by intensity (2θ = 10–90°):
- d = 2.818 Å, I 100, (2 1 3)
- d = 2.531 Å, I 59, (3 1 0)
- d = 2.603 Å, I 25, (2 0 4)
- d = 1.414 Å, I 23, (4 4 0)
- d = 2.932 Å, I 21, (1 1 4)
- d = 1.788 Å, I 18, (4 2 0)
- d = 1.419 Å, I 14, (3 1 8)
- d = 1.653 Å, I 13, (3 3 4)
- d = 2.177 Å, I 12, (2 1 5)
- d = 2.830 Å, I 10, (2 2 0)

No. 10
Theoretical powder XRD pattern
Compound: La5Tb3Ho2
Radiation: a wavelength of 1.5418 Å
Structure: a cell relaxed with PBE
Peak positions follow from Bragg's law for the DFT cell and can differ from measured ones.

Atomic structure:
a b c (Å): 10.902 14.888 10.196
angles (deg): 90.00 122.26 90.00
Space group C2/c (No. 15)
One atom of each set of equivalent atoms:
La  0.000  0.017  0.250 (multiplicity 4)
La  0.000  0.226  0.250 (multiplicity 4)
La  0.000  0.474  0.750 (multiplicity 4)
La  0.247  0.370  0.243 (multiplicity 8)
Tb  0.000  0.269  0.750 (multiplicity 4)
Tb  0.154  0.374  0.558 (multiplicity 8)
Ho  0.156  0.129  0.062 (multiplicity 8)

Main lines, by intensity (2θ = 10–90°):
- d = 2.895 Å, I 100, (2 4 0)
- d = 3.079 Å, I 94, (2 2 1)
- d = 2.725 Å, I 47, (4 0 -2)
- d = 2.542 Å, I 27, (2 0 -4)
- d = 1.504 Å, I 26, (2 4 4)
- d = 1.547 Å, I 24, (4 6 1)
- d = 1.878 Å, I 23, (0 6 3)
- d = 2.817 Å, I 22, (0 4 2)
- d = 1.363 Å, I 21, (8 0 -4)
- d = 2.681 Å, I 20, (0 2 3)

No. 11
Theoretical powder XRD pattern
Compound: PrEr2Sn2Hg2
Radiation: a wavelength of 1.5418 Å
Structure: a cell relaxed with PBE
Peak positions follow from Bragg's law for the DFT cell and can differ from measured ones.

Atomic structure:
a b c (Å): 5.0064 5.0064 26.6828
angles (deg): 90.00 90.00 120.00
Space group R-3m (No. 166, hexagonal axes)
One atom of each set of equivalent atoms:
Pr  0.0000  0.0000  0.0000 (multiplicity 3)
Er  0.0000  0.0000  0.1320 (multiplicity 6)
Sn  0.0000  0.0000  0.2664 (multiplicity 6)
Hg  0.0000  0.0000  0.4354 (multiplicity 6)

Main lines, by intensity (2θ = 10–90°):
- d = 2.863 Å, I 100, (1 0 7)
- d = 2.503 Å, I 90, (1 1 0)
- d = 1.884 Å, I 30, (0 2 7)
- d = 1.505 Å, I 29, (2 1 7)
- d = 1.445 Å, I 17, (3 0 0)
- d = 1.147 Å, I 13, (1 3 7)
- d = 1.913 Å, I 12, (1 1 9)
- d = 1.252 Å, I 11, (2 2 0)
- d = 1.557 Å, I 10, (1 0 16)
- d = 1.745 Å, I 10, (0 1 14)

No. 12
Theoretical powder XRD pattern
Compound: RbNaSc2Ga
Radiation: a wavelength of 1.5418 Å
Structure: a cell relaxed with PBE
Peak positions follow from Bragg's law for the DFT cell and can differ from measured ones.

Atomic structure:
a b c (Å): 5.324 5.324 5.212
angles (deg): 90.00 90.00 90.00
Space group P4/mmm (No. 123)
One atom of each set of equivalent atoms:
Rb  0.000  0.000  0.000 (multiplicity 1)
Na  0.000  0.000  0.500 (multiplicity 1)
Sc  0.000  0.500  0.000 (multiplicity 2)
Ga  0.500  0.500  0.500 (multiplicity 1)

Main lines, by intensity (2θ = 10–90°):
- d = 3.724 Å, I 100, (1 0 1)
- d = 2.662 Å, I 85, (2 0 0)
- d = 1.862 Å, I 56, (2 0 2)
- d = 2.166 Å, I 45, (2 1 1)
- d = 2.606 Å, I 40, (0 0 2)
- d = 3.052 Å, I 34, (1 1 1)
- d = 1.882 Å, I 29, (2 2 0)
- d = 1.526 Å, I 28, (2 2 2)
- d = 3.765 Å, I 24, (1 1 0)
- d = 5.212 Å, I 21, (0 0 1)